# 1
Si23Se3: calculated X-ray diffraction stick pattern (copper Kα), based on a structure optimized by DFT (PBE).

Cell and atoms:
Unit cell a=10.156 b=10.156 c=10.156 alpha=90.00 beta=90.00 gamma=90.00
Space group Pm-3n (No. 223)
Symmetry-distinct sites (fractional):
Si (0.000, 0.116, 0.311) [24 per cell]
Si (0.000, 0.250, 0.500) [6 per cell]
Si (0.184, 0.184, 0.184) [16 per cell]
Se (0.000, 0.500, 0.250) [6 per cell]

Main lines, by angle (2θ = 10–80°):
index	Position (°2θ)	I/Imax
1 1 0	12.3	19.5
3 1 0	27.8	18.6
2 2 2	30.5	80.2
3 2 0	31.8	76.6
3 2 1	33.0	100.0
4 0 0	35.4	21.5
4 1 0	36.5	16.1
5 3 0	52.5	65.8
6 0 0	54.2	20.4
5 3 2	55.8	42.9


# 2
Pr3AgPd2: calculated X-ray diffraction stick pattern (copper Kα), based on a structure optimized by DFT (PBE).

Cell and atoms:
Unit cell a=7.7648 b=7.7648 c=19.4339 alpha=90.00 beta=90.00 gamma=120.00
Space group R-3c (No. 167, hexagonal axes)
Symmetry-distinct sites (fractional):
Pr (0.0000, 0.2918, 0.2500) [18 per cell]
Ag (0.0000, 0.0000, 0.0000) [6 per cell]
Pd (0.0000, 0.0000, 0.1458) [12 per cell]

Main lines, by angle (2θ = 10–80°):
index	Position (°2θ)	I/Imax
1 1 0	22.9	11.4
1 1 3	26.8	100.0
2 1 1	35.6	10.9
1 1 6	36.1	81.5
0 1 8	39.4	12.5
3 0 0	40.2	63.8
1 1 9	48.2	20.0
2 2 3	49.0	12.5
2 2 6	55.2	21.4
4 1 6	70.4	14.1


# 3
PuAu2Br6: calculated X-ray diffraction stick pattern (copper Kα), based on a structure optimized by DFT (PBE).

Cell and atoms:
Unit cell a=14.030 b=14.568 c=7.131 alpha=90.00 beta=98.29 gamma=90.00
Space group C2/c (No. 15)
Symmetry-distinct sites (fractional):
Pu (0.000, 0.081, 0.250) [4 per cell]
Au (0.109, 0.499, 0.294) [8 per cell]
Br (0.112, 0.062, 0.612) [8 per cell]
Br (0.117, 0.385, 0.549) [8 per cell]
Br (0.119, 0.206, 0.142) [8 per cell]

Main lines, by angle (2θ = 10–80°):
index	Position (°2θ)	I/Imax
0 2 0	12.2	100.0
2 0 0	12.8	47.5
3 1 0	20.1	30.7
2 2 1	22.8	19.1
4 0 0	25.7	26.6
3 3 -1	28.3	42.6
5 1 0	32.8	25.2
3 1 2	34.7	23.3
1 5 -2	40.1	25.6
1 7 0	44.0	21.2